Diffraction record for BaSrDyBiO6. The powder XRD pattern is calculated, not measured: it uses DFT lattice parameters and positions (GGA-PBE) and a wavelength of 1.5418 Å.

Top 6 peaks for 10 to 80 degrees two-theta, most intense first:
| 2theta | intensity | hkl |
| --- | --- | --- |
| 29.3 | 100 | 2 0 2 |
| 52.0 | 44 | 4 2 2 |
| 42.0 | 27 | 0 0 4 |
| 69.0 | 19 | 6 0 2 |
| 60.9 | 17 | 4 4 0 |
| 20.6 | 12 | 0 0 2 |

Structural model:
```
data_BaSrDyBiO6
_symmetry_space_group_name_H-M 'P 1'
_symmetry_Int_Tables_number 1
_cell_length_a 8.606
_cell_length_b 8.614
_cell_length_c 8.614
_cell_angle_alpha 90.00
_cell_angle_beta 90.00
_cell_angle_gamma 90.00
loop_
_symmetry_equiv_pos_as_xyz
'x,y,z'
loop_
_atom_site_label
_atom_site_type_symbol
_atom_site_fract_x
_atom_site_fract_y
_atom_site_fract_z
Ba1 Ba 0.000 0.000 0.000
Ba2 Ba 0.000 0.000 0.500
Ba3 Ba 0.500 0.000 0.000
Ba4 Ba 0.500 0.500 0.500
Sr1 Sr 0.000 0.500 0.000
Sr2 Sr 0.000 0.500 0.500
Sr3 Sr 0.500 0.000 0.500
Sr4 Sr 0.500 0.500 0.000
Dy1 Dy 0.250 0.253 0.251
Dy2 Dy 0.250 0.747 0.749
Dy3 Dy 0.750 0.253 0.749
Dy4 Dy 0.750 0.747 0.251
Bi1 Bi 0.250 0.253 0.749
Bi2 Bi 0.250 0.747 0.251
Bi3 Bi 0.750 0.253 0.251
Bi4 Bi 0.750 0.747 0.749
O1 O 0.005 0.224 0.723
O2 O 0.005 0.776 0.277
O3 O 0.215 0.286 0.994
O4 O 0.215 0.495 0.708
O5 O 0.215 0.505 0.292
O6 O 0.215 0.714 0.006
O7 O 0.274 0.007 0.778
O8 O 0.274 0.993 0.222
O9 O 0.291 0.217 0.506
O10 O 0.291 0.783 0.494
O11 O 0.493 0.291 0.786
O12 O 0.493 0.709 0.214
O13 O 0.507 0.291 0.214
O14 O 0.507 0.709 0.786
O15 O 0.709 0.217 0.494
O16 O 0.709 0.783 0.506
O17 O 0.726 0.007 0.222
O18 O 0.726 0.993 0.778
O19 O 0.785 0.286 0.006
O20 O 0.785 0.495 0.292
O21 O 0.785 0.505 0.708
O22 O 0.785 0.714 0.994
O23 O 0.995 0.224 0.277
O24 O 0.995 0.776 0.723
```